No. 1
# CaN2F8
Simulated powder diffraction line list, Cu Ka. Input: a structure optimized by DFT (GGA-PBE).
Peak positions follow from Bragg's law for the DFT cell and can differ from measured ones.

Principal peaks in the range 10° ≤ 2θ ≤ 90°, by angle:
2θ (°)  d [Å]  intensity
17.13  5.177  35
23.20  3.835  61
24.52  3.630  63
29.80  2.998  22
30.59  2.923  100
35.74  2.512  16
40.91  2.206  27
43.31  2.089  28
47.12  1.929  22
48.91  1.862  16

Cell and atoms:
```
data_CaN2F8
_chemical_formula_sum 'Ca1 N2 F8'
_symmetry_space_group_name_H-M 'P 1'
_symmetry_Int_Tables_number 1
_symmetry_space_group_name_Hall 'P 1'
_cell_length_a 5.218
_cell_length_b 5.218
_cell_length_c 6.619
_cell_angle_alpha 97.12
_cell_angle_beta 97.12
_cell_angle_gamma 88.17
loop_
_atom_site_label
_atom_site_type_symbol
_atom_site_fract_x
_atom_site_fract_y
_atom_site_fract_z
_atom_site_occupancy
Ca1 Ca 0.000 0.000 0.000 1
N1 N 0.210 0.210 0.585 1
N2 N 0.790 0.790 0.415 1
F1 F 0.006 0.700 0.306 1
F2 F 0.267 0.267 0.139 1
F3 F 0.300 0.994 0.694 1
F4 F 0.392 0.392 0.663 1
F5 F 0.608 0.608 0.337 1
F6 F 0.700 0.006 0.306 1
F7 F 0.733 0.733 0.861 1
F8 F 0.994 0.300 0.694 1
```



No. 2
# Ca5NbN4F2
Simulated powder diffraction line list, Cu Ka. Input: a structure optimized by DFT (GGA-PBE).
Peak positions follow from Bragg's law for the DFT cell and can differ from measured ones.

Principal peaks in the range 10° ≤ 2θ ≤ 90°, by angle:
2θ (°)  d [Å]  intensity
12.61  7.018  24
17.72  5.005  27
30.65  2.917  32
31.13  2.873  100
31.43  2.846  25
31.55  2.836  93
44.47  2.037  62
55.05  1.668  20
56.29  1.634  26
62.22  1.492  19

Cell and atoms:
```
data_Ca5NbN4F2
_chemical_formula_sum 'Ca5 Nb1 N4 F2'
_symmetry_space_group_name_H-M 'P 1'
_symmetry_Int_Tables_number 1
_symmetry_space_group_name_Hall 'P 1'
_cell_length_a 7.018
_cell_length_b 5.675
_cell_length_c 5.675
_cell_angle_alpha 118.14
_cell_angle_beta 90.00
_cell_angle_gamma 90.00
loop_
_atom_site_label
_atom_site_type_symbol
_atom_site_fract_x
_atom_site_fract_y
_atom_site_fract_z
_atom_site_occupancy
Ca1 Ca 0.000 0.000 0.000 1
Ca2 Ca 0.273 0.317 0.669 1
Ca3 Ca 0.273 0.669 0.317 1
Ca4 Ca 0.727 0.317 0.669 1
Ca5 Ca 0.727 0.669 0.317 1
Nb1 Nb 0.500 0.004 0.004 1
N1 N 0.276 0.208 0.208 1
N2 N 0.500 0.639 0.975 1
N3 N 0.500 0.975 0.639 1
N4 N 0.724 0.208 0.208 1
F1 F 0.000 0.040 0.598 1
F2 F 0.000 0.598 0.040 1
```



No. 3
# CaTlSeNF
Simulated powder diffraction line list, Cu Ka. Input: a structure optimized by DFT (GGA-PBE).
Peak positions follow from Bragg's law for the DFT cell and can differ from measured ones.

Principal peaks in the range 10° ≤ 2θ ≤ 90°, by angle:
2θ (°)  d [Å]  intensity
18.49  4.798  39
27.89  3.199  29
28.11  3.175  28
29.71  3.007  100
30.45  2.936  50
33.74  2.657  50
33.98  2.639  31
39.86  2.262  33
50.97  1.792  28
56.18  1.637  22

Cell and atoms:
```
data_CaTlSeNF
_chemical_formula_sum 'Ca1 Tl1 Se1 N1 F1'
_symmetry_space_group_name_H-M 'P 1'
_symmetry_Int_Tables_number 1
_symmetry_space_group_name_Hall 'P 1'
_cell_length_a 3.587
_cell_length_b 3.587
_cell_length_c 9.597
_cell_angle_alpha 90.71
_cell_angle_beta 90.71
_cell_angle_gamma 62.28
loop_
_atom_site_label
_atom_site_type_symbol
_atom_site_fract_x
_atom_site_fract_y
_atom_site_fract_z
_atom_site_occupancy
Ca1 Ca 0.000 0.000 0.000 1
Tl1 Tl 0.675 0.675 0.442 1
Se1 Se 0.331 0.331 0.689 1
N1 N 0.337 0.337 0.870 1
F1 F 0.666 0.666 0.110 1
```